Starting from a DFT-relaxed cell (GGA-PBE, Alexandria), the powder X-ray diffraction pattern of Be3Nb3B was simulated for a wavelength of 1.5418 Å.
Lines closer than 0.1° are merged.

Largest 8 diffraction maxima, sorted by position, 2θ = 10–90°:
| 2θ (°) | I (rel.) |
| --- | --- |
| 27.3 | 46.5 |
| 32.2 | 100.0 |
| 35.9 | 26.0 |
| 39.9 | 88.6 |
| 40.3 | 63.8 |
| 54.8 | 28.5 |
| 63.2 | 25.8 |
| 65.0 | 25.1 |

Structural model:
```
Be3Nb3B
1.0
-1.674 1.674 7.509
1.674 -1.674 7.509
1.674 1.674 -7.509
Be Nb B
3 3 1
Direct
0.000 0.000 0.000
0.270 0.270 0.000
0.577 0.077 0.500
0.141 0.641 0.500
0.448 0.448 0.000
0.822 0.822 0.000
0.703 0.203 0.500
```